1.
Structure and theoretical XRD peak list of BaY2PdO5 (a PBE-relaxed structure; Cu Kα X-rays).

Principal peaks in the range 2θ from 10° to 80°, by angle:
h k l	2θ/deg	I_rel
2 0 0	27.02	13
0 0 2	30.13	34
2 0 1	31.01	100
2 1 1	33.93	24
2 2 0	38.59	26
2 1 2	43.25	23
2 2 2	49.72	24
2 0 3	54.07	20
4 0 1	58.03	13
4 2 2	71.40	13

Atomic structure:
abc: 6.599 6.599 5.932
angles: 90.00 90.00 90.00
Space group P4/mbm (No. 127)
One atom of each set of equivalent atoms:
Ba 0.000 0.000 0.000 (multiplicity 2)
Y 0.174 0.326 0.500 (multiplicity 4)
Pd 0.000 0.500 0.000 (multiplicity 2)
O 0.000 0.000 0.500 (multiplicity 2)
O 0.140 0.640 0.260 (multiplicity 8)

***

2.
Structure and theoretical XRD peak list of BaPr2O4 (a PBE-relaxed structure; Cu Kα X-rays).

Principal peaks in the range 2θ from 10° to 80°, by angle:
h k l	2θ/deg	I_rel
0 0 4	28.13	49
3 0 2	28.53	100
1 1 2	29.33	70
2 1 0	29.46	32
1 1 3	33.40	21
2 1 4	41.18	38
4 1 0	41.56	20
3 0 6	50.04	18
4 1 4	50.95	19
3 2 2	58.35	27

Atomic structure:
abc: 10.791 3.665 12.687
angles: 90.00 90.00 90.00
Space group Pnma (No. 62)
One atom of each set of equivalent atoms:
Ba 0.249 0.250 0.147 (multiplicity 4)
Pr 0.075 0.250 0.887 (multiplicity 4)
Pr 0.080 0.250 0.389 (multiplicity 4)
O 0.014 0.750 0.783 (multiplicity 4)
O 0.071 0.250 0.577 (multiplicity 4)
O 0.123 0.750 0.019 (multiplicity 4)
O 0.212 0.750 0.328 (multiplicity 4)

***

3.
Structure and theoretical XRD peak list of Ba2PrRuO6 (a PBE-relaxed structure; Cu Kα X-rays).

Principal peaks in the range 2θ from 10° to 80°, by angle:
h k l	2θ/deg	I_rel
2 0 -2	29.15	33
1 1 1	29.27	67
3 1 -1	29.40	100
2 2 -2	41.88	39
4 0 0	42.04	19
1 1 -3	51.68	14
2 0 2	51.88	22
4 2 0	52.12	47
0 4 0	61.00	18
5 3 -3	68.98	18

Atomic structure:
abc: 10.527 6.074 6.127
angles: 90.00 125.25 90.00
Space group C2/m (No. 12)
One atom of each set of equivalent atoms:
Ba 0.248 0.000 0.245 (multiplicity 4)
Pr 0.000 0.000 0.500 (multiplicity 2)
Ru 0.000 0.500 0.000 (multiplicity 2)
O 0.026 0.269 0.798 (multiplicity 8)
O 0.228 0.500 0.278 (multiplicity 4)

***

4.
Structure and theoretical XRD peak list of Ba2PrRuO6 (a PBE-relaxed structure; Cu Kα X-rays).

Principal peaks in the range 2θ from 10° to 80°, by angle:
h k l	2θ/deg	I_rel
2 2 0	29.27	100
3 1 1	34.46	1
2 2 2	36.05	2
4 0 0	41.86	30
3 3 1	45.82	1
4 2 2	51.90	40
4 4 0	60.70	19
6 2 0	68.79	18
4 4 4	76.46	6

Atomic structure:
abc: 8.631 8.631 8.631
angles: 90.00 90.00 90.00
Space group Fm-3m (No. 225)
One atom of each set of equivalent atoms:
Ba 0.250 0.250 0.250 (multiplicity 8)
Pr 0.000 0.000 0.000 (multiplicity 4)
Ru 0.000 0.000 0.500 (multiplicity 4)
O 0.000 0.000 0.271 (multiplicity 24)

***

5.
Structure and theoretical XRD peak list of Ba2PrRuO6 (a PBE-relaxed structure; Cu Kα X-rays).

Principal peaks in the range 2θ from 10° to 80°, by angle:
h k l	2θ/deg	I_rel
1 1 1	29.29	100
0 2 0	29.42	51
0 0 4	41.70	15
2 2 -2	42.09	29
2 0 -6	51.85	21
3 1 -1	52.10	41
2 2 2	60.74	18
0 4 0	61.04	9
1 1 5	68.56	9
4 2 -4	69.15	13

Atomic structure:
abc: 6.073 6.070 10.574
angles: 90.00 124.98 90.00
Space group P2_1/c (No. 14)
One atom of each set of equivalent atoms:
Ba 0.249 0.004 0.250 (multiplicity 4)
Pr 0.500 0.000 0.000 (multiplicity 2)
Ru 0.000 0.000 0.500 (multiplicity 2)
O 0.203 0.738 0.506 (multiplicity 4)
O 0.216 0.001 0.730 (multiplicity 4)
O 0.268 0.197 0.507 (multiplicity 4)

***

6.
Structure and theoretical XRD peak list of Ba2PrSbO6 (a PBE-relaxed structure; Cu Kα X-rays).

Principal peaks in the range 2θ from 10° to 80°, by angle:
h k l	2θ/deg	I_rel
2 0 0	20.39	1
2 2 0	28.99	100
2 2 2	35.70	1
4 0 0	41.46	30
4 2 2	51.38	41
4 4 0	60.07	19
6 2 0	68.06	18
4 4 4	75.62	6

Atomic structure:
abc: 8.712 8.712 8.712
angles: 90.00 90.00 90.00
Space group Fm-3m (No. 225)
One atom of each set of equivalent atoms:
Ba 0.250 0.250 0.250 (multiplicity 8)
Pr 0.000 0.000 0.000 (multiplicity 4)
Sb 0.000 0.000 0.500 (multiplicity 4)
O 0.000 0.000 0.269 (multiplicity 24)

***

7.
Structure and theoretical XRD peak list of Ba2PrSbO6 (a PBE-relaxed structure; Cu Kα X-rays).

Principal peaks in the range 2θ from 10° to 80°, by angle:
h k l	2θ/deg	I_rel
2 0 0	20.39	1
2 2 0	29.00	100
2 2 2	35.71	1
4 0 0	41.47	29
4 2 2	51.39	41
4 4 0	60.09	18
6 2 0	68.08	18
4 4 4	75.64	6

Atomic structure:
abc: 8.710 8.710 8.710
angles: 90.00 90.00 90.00
Space group Pn-3 (No. 201, origin choice 2)
One atom of each set of equivalent atoms:
Ba 0.250 0.250 0.250 (multiplicity 2)
Ba 0.250 0.250 0.750 (multiplicity 6)
Pr 0.000 0.000 0.000 (multiplicity 4)
Sb 0.000 0.000 0.500 (multiplicity 4)
O 0.014 0.515 0.769 (multiplicity 24)

***

8.
Structure and theoretical XRD peak list of Ba2PrSbO6 (a PBE-relaxed structure; Cu Kα X-rays).

Principal peaks in the range 2θ from 10° to 80°, by angle:
h k l	2θ/deg	I_rel
1 1 0	28.95	100
1 0 4	29.13	100
0 2 4	41.53	57
3 0 0	51.31	22
2 1 4	51.42	42
0 1 8	51.75	20
2 2 0	59.99	17
2 0 8	60.39	18
1 3 4	68.06	18
3 -2 8	68.33	18

Atomic structure:
abc: 6.1684 6.1684 14.9752
angles: 90.00 90.00 120.00
Space group R-3 (No. 148, hexagonal axes)
One atom of each set of equivalent atoms:
Ba 0.0000 0.0000 0.2487 (multiplicity 6)
Pr 0.0000 0.0000 0.5000 (multiplicity 3)
Sb 0.0000 0.0000 0.0000 (multiplicity 3)
O 0.0274 0.5577 0.7445 (multiplicity 18)